Simulated powder XRD pattern
Compound: PmAuO4
Radiation: Cu Kα (weighted mean of Kα1 and Kα2)
Structure: a GGA-PBE-relaxed structure

Main lines, by angle (10° ≤ 2θ ≤ 90°):
| 2θ (°) | I_rel |
| --- | --- |
| 27.9 | 100 |
| 31.1 | 15 |
| 44.8 | 16 |
| 53.3 | 17 |
| 53.9 | 17 |
| 57.7 | 26 |

Structural model:
a = 6.601 Å, b = 6.601 Å, c = 6.601 Å
α = 129.02°, β = 128.27°, γ = 75.58°
Fractional positions:
Pm 0.250 0.250 0.000
Pm 0.750 0.750 0.000
Au 0.000 0.500 0.500
Au 0.500 0.000 0.500
O 0.039 0.536 0.843
O 0.194 0.036 0.498
O 0.306 0.804 0.843
O 0.461 0.304 0.498
O 0.539 0.696 0.502
O 0.694 0.196 0.157
O 0.806 0.964 0.502
O 0.961 0.464 0.157

Simulated powder XRD pattern
Compound: Pm2AuO6
Radiation: Cu Kα (weighted mean of Kα1 and Kα2)
Structure: a GGA-PBE-relaxed structure

Main lines, by angle (10° ≤ 2θ ≤ 90°):
| 2θ (°) | I_rel |
| --- | --- |
| 20.0 | 21 |
| 24.1 | 81 |
| 26.5 | 22 |
| 30.5 | 37 |
| 32.6 | 100 |
| 48.0 | 49 |

Structural model:
a = 6.172 Å, b = 6.172 Å, c = 6.733 Å
α = 90.00°, β = 90.00°, γ = 106.34°
Fractional positions:
Pm 0.176 0.824 0.897
Pm 0.324 0.676 0.397
Pm 0.676 0.324 0.603
Pm 0.824 0.176 0.103
Au 0.000 0.000 0.500
Au 0.500 0.500 0.000
O 0.021 0.321 0.423
O 0.069 0.931 0.215
O 0.179 0.479 0.077
O 0.321 0.021 0.577
O 0.431 0.569 0.715
O 0.479 0.179 0.923
O 0.521 0.821 0.077
O 0.569 0.431 0.285
O 0.679 0.979 0.423
O 0.821 0.521 0.923
O 0.931 0.069 0.785
O 0.979 0.679 0.577

Simulated powder XRD pattern
Compound: PmAuO2
Radiation: Cu Kα (weighted mean of Kα1 and Kα2)
Structure: a GGA-PBE-relaxed structure

Main lines, by angle (10° ≤ 2θ ≤ 90°):
| 2θ (°) | I_rel |
| --- | --- |
| 28.4 | 78 |
| 29.5 | 37 |
| 31.2 | 100 |
| 48.5 | 37 |
| 53.4 | 27 |
| 57.8 | 35 |

Structural model:
a = 3.752 Å, b = 3.752 Å, c = 12.127 Å
α = 90.00°, β = 90.00°, γ = 120.00°
Fractional positions:
Pm 0.000 0.000 0.000
Pm 0.000 0.000 0.500
Au 0.333 0.667 0.250
Au 0.667 0.333 0.750
O 0.333 0.667 0.082
O 0.333 0.667 0.418
O 0.667 0.333 0.582
O 0.667 0.333 0.918

Simulated powder XRD pattern
Compound: PmPrAu2O8
Radiation: Cu Kα (weighted mean of Kα1 and Kα2)
Structure: a GGA-PBE-relaxed structure

Main lines, by angle (10° ≤ 2θ ≤ 90°):
| 2θ (°) | I_rel |
| --- | --- |
| 28.0 | 100 |
| 31.6 | 39 |
| 34.0 | 21 |
| 47.1 | 27 |
| 54.1 | 43 |
| 57.3 | 16 |

Structural model:
a = 6.616 Å, b = 6.616 Å, c = 6.616 Å
α = 129.37°, β = 129.37°, γ = 74.42°
Fractional positions:
Pm 0.000 0.000 0.000
Pr 0.250 0.750 0.500
Au 0.500 0.500 0.000
Au 0.750 0.250 0.500
O 0.039 0.319 0.938
O 0.211 0.421 0.557
O 0.345 0.789 0.210
O 0.381 0.101 0.062
O 0.579 0.136 0.790
O 0.681 0.619 0.720
O 0.864 0.655 0.443
O 0.899 0.961 0.280

Simulated powder XRD pattern
Compound: PmPuAuO6
Radiation: Cu Kα (weighted mean of Kα1 and Kα2)
Structure: a GGA-PBE-relaxed structure

Main lines, by angle (10° ≤ 2θ ≤ 90°):
| 2θ (°) | I_rel |
| --- | --- |
| 26.7 | 100 |
| 30.3 | 67 |
| 40.8 | 41 |
| 51.7 | 76 |
| 53.9 | 20 |
| 69.7 | 26 |

Structural model:
a = 5.894 Å, b = 5.894 Å, c = 8.853 Å
α = 90.00°, β = 90.00°, γ = 120.00°
Fractional positions:
Pm 0.333 0.667 0.250
Pm 0.667 0.333 0.750
Pu 0.333 0.667 0.750
Pu 0.667 0.333 0.250
Au 0.000 0.000 0.000
Au 0.000 0.000 0.500
O 0.044 0.377 0.629
O 0.044 0.667 0.871
O 0.333 0.377 0.871
O 0.333 0.956 0.629
O 0.377 0.044 0.129
O 0.377 0.333 0.371
O 0.623 0.667 0.629
O 0.623 0.956 0.871
O 0.667 0.044 0.371
O 0.667 0.623 0.129
O 0.956 0.333 0.129
O 0.956 0.623 0.371

Simulated powder XRD pattern
Compound: RbPm4Au3O12
Radiation: Cu Kα (weighted mean of Kα1 and Kα2)
Structure: a GGA-PBE-relaxed structure

Main lines, by angle (10° ≤ 2θ ≤ 90°):
| 2θ (°) | I_rel |
| --- | --- |
| 29.5 | 100 |
| 42.2 | 21 |
| 52.4 | 48 |
| 61.3 | 13 |
| 69.4 | 19 |
| 84.7 | 22 |

Structural model:
a = 7.414 Å, b = 7.414 Å, c = 7.414 Å
α = 109.47°, β = 109.47°, γ = 109.47°
Fractional positions:
Rb 0.000 0.000 0.000
Pm 0.000 0.000 0.500
Pm 0.000 0.500 0.000
Pm 0.500 0.000 0.000
Pm 0.500 0.500 0.500
Au 0.000 0.500 0.500
Au 0.500 0.000 0.500
Au 0.500 0.500 0.000
O 0.160 0.327 0.487
O 0.160 0.673 0.833
O 0.167 0.840 0.327
O 0.327 0.167 0.840
O 0.327 0.487 0.160
O 0.487 0.160 0.327
O 0.513 0.840 0.673
O 0.673 0.513 0.840
O 0.673 0.833 0.160
O 0.833 0.160 0.673
O 0.840 0.327 0.167
O 0.840 0.673 0.513

Simulated powder XRD pattern
Compound: Pm2AuS2O2
Radiation: Cu Kα (weighted mean of Kα1 and Kα2)
Structure: a GGA-PBE-relaxed structure

Main lines, by angle (10° ≤ 2θ ≤ 90°):
| 2θ (°) | I_rel |
| --- | --- |
| 23.7 | 23 |
| 27.3 | 100 |
| 30.6 | 39 |
| 41.6 | 33 |
| 46.0 | 30 |
| 52.4 | 17 |

Structural model:
a = 3.946 Å, b = 3.946 Å, c = 11.246 Å
α = 90.00°, β = 90.00°, γ = 120.00°
Fractional positions:
Pm 0.333 0.667 0.133
Pm 0.667 0.333 0.867
Au 0.000 0.000 0.500
S 0.000 0.000 0.299
S 0.000 0.000 0.701
O 0.333 0.667 0.921
O 0.667 0.333 0.079

Simulated powder XRD pattern
Compound: Pm2Te2AuO2
Radiation: Cu Kα (weighted mean of Kα1 and Kα2)
Structure: a GGA-PBE-relaxed structure

Main lines, by angle (10° ≤ 2θ ≤ 90°):
| 2θ (°) | I_rel |
| --- | --- |
| 25.9 | 24 |
| 26.8 | 100 |
| 29.5 | 23 |
| 38.6 | 40 |
| 45.7 | 39 |
| 59.0 | 31 |

Structural model:
a = 3.974 Å, b = 3.974 Å, c = 12.714 Å
α = 90.00°, β = 90.00°, γ = 120.00°
Fractional positions:
Pm 0.333 0.667 0.117
Pm 0.667 0.333 0.883
Te 0.000 0.000 0.298
Te 0.000 0.000 0.702
Au 0.000 0.000 0.500
O 0.333 0.667 0.929
O 0.667 0.333 0.071

Simulated powder XRD pattern
Compound: PrPuAuO6
Radiation: Cu Kα (weighted mean of Kα1 and Kα2)
Structure: a GGA-PBE-relaxed structure

Main lines, by angle (10° ≤ 2θ ≤ 90°):
| 2θ (°) | I_rel |
| --- | --- |
| 26.7 | 100 |
| 30.0 | 70 |
| 40.6 | 34 |
| 51.2 | 34 |
| 51.8 | 42 |
| 53.2 | 21 |

Structural model:
a = 5.964 Å, b = 5.964 Å, c = 8.755 Å
α = 90.00°, β = 90.00°, γ = 120.00°
Fractional positions:
Pr 0.333 0.667 0.250
Pr 0.667 0.333 0.750
Pu 0.333 0.667 0.750
Pu 0.667 0.333 0.250
Au 0.000 0.000 0.000
Au 0.000 0.000 0.500
O 0.049 0.380 0.627
O 0.049 0.670 0.873
O 0.330 0.380 0.873
O 0.330 0.951 0.627
O 0.380 0.049 0.127
O 0.380 0.330 0.373
O 0.620 0.670 0.627
O 0.620 0.951 0.873
O 0.670 0.049 0.373
O 0.670 0.620 0.127
O 0.951 0.330 0.127
O 0.951 0.620 0.373

Simulated powder XRD pattern
Compound: Rb2PtAuO4
Radiation: Cu Kα (weighted mean of Kα1 and Kα2)
Structure: a GGA-PBE-relaxed structure

Main lines, by angle (10° ≤ 2θ ≤ 90°):
| 2θ (°) | I_rel |
| --- | --- |
| 15.4 | 100 |
| 17.8 | 55 |
| 25.4 | 41 |
| 29.7 | 72 |
| 31.8 | 50 |
| 40.0 | 45 |

Structural model:
a = 12.193 Å, b = 10.433 Å, c = 7.662 Å
α = 83.22°, β = 58.18°, γ = 38.61°
Fractional positions:
Rb 0.046 0.046 0.704
Rb 0.296 0.296 0.954
Rb 0.704 0.704 0.046
Rb 0.954 0.954 0.296
Pt 0.125 0.125 0.125
Pt 0.875 0.875 0.875
Au 0.375 0.375 0.375
Au 0.625 0.625 0.625
O 0.030 0.718 0.534
O 0.217 0.534 0.718
O 0.282 0.970 0.783
O 0.466 0.783 0.970
O 0.534 0.217 0.030
O 0.718 0.030 0.217
O 0.783 0.466 0.282
O 0.970 0.282 0.466

Simulated powder XRD pattern
Compound: Sc4PtAuO
Radiation: Cu Kα (weighted mean of Kα1 and Kα2)
Structure: a GGA-PBE-relaxed structure

Main lines, by angle (10° ≤ 2θ ≤ 90°):
| 2θ (°) | I_rel |
| --- | --- |
| 21.6 | 82 |
| 28.2 | 62 |
| 29.4 | 80 |
| 38.3 | 39 |
| 39.2 | 100 |
| 42.1 | 62 |

Structural model:
a = 7.643 Å, b = 7.643 Å, c = 6.077 Å
α = 90.00°, β = 90.00°, γ = 133.22°
Fractional positions:
Sc 0.000 0.500 0.000
Sc 0.000 0.500 0.500
Sc 0.067 0.933 0.750
Sc 0.425 0.575 0.750
Sc 0.500 0.000 0.000
Sc 0.500 0.000 0.500
Sc 0.575 0.425 0.250
Sc 0.933 0.067 0.250
Pt 0.119 0.881 0.250
Pt 0.881 0.119 0.750
Au 0.385 0.615 0.250
Au 0.615 0.385 0.750
O 0.253 0.747 0.750
O 0.747 0.253 0.250

Simulated powder XRD pattern
Compound: PuAu3O6
Radiation: Cu Kα (weighted mean of Kα1 and Kα2)
Structure: a GGA-PBE-relaxed structure

Main lines, by angle (10° ≤ 2θ ≤ 90°):
| 2θ (°) | I_rel |
| --- | --- |
| 19.3 | 59 |
| 24.0 | 79 |
| 26.4 | 46 |
| 31.8 | 59 |
| 32.4 | 100 |
| 49.1 | 44 |

Structural model:
a = 4.685 Å, b = 6.354 Å, c = 6.551 Å
α = 61.01°, β = 80.13°, γ = 89.94°
Fractional positions:
Pu 0.000 0.000 0.000
Au 0.000 0.000 0.500
Au 0.000 0.500 0.500
Au 0.500 0.500 0.000
O 0.223 0.196 0.608
O 0.234 0.174 0.154
O 0.235 0.673 0.155
O 0.765 0.327 0.845
O 0.766 0.826 0.846
O 0.777 0.804 0.392